Starting from a DFT-relaxed cell (GGA-PBE, Alexandria), the X-ray diffraction stick pattern of Sm3Ru was computed for Cu Ka.
Peak positions follow from Bragg's law for the DFT cell and can differ from measured ones.

Structural model:
```
data_Sm3Ru
_chemical_formula_sum 'Sm24 Ru8'
_symmetry_space_group_name_H-M 'I -4 2 m'
_symmetry_Int_Tables_number 121
_symmetry_space_group_name_Hall 'I -4 2'
_cell_length_a 11.8493
_cell_length_b 11.8493
_cell_length_c 6.2778
_cell_angle_alpha 90.00
_cell_angle_beta 90.00
_cell_angle_gamma 90.00
loop_
_atom_site_label
_atom_site_type_symbol
_atom_site_fract_x
_atom_site_fract_y
_atom_site_fract_z
_atom_site_occupancy
Sm1 Sm 0.0000 0.3580 0.0000 1
Sm2 Sm 0.0962 0.0962 0.2620 1
Sm3 Sm 0.2027 0.2027 0.7020 1
Ru1 Ru 0.0000 0.2900 0.5000 1
```

Largest 12 diffraction maxima, sorted by position, 10° ≤ 2θ ≤ 90°:
d [Å]	2θ/deg	I_rel	index
2.939	30.41	803	1 1 2
2.912	30.71	960	3 2 1
2.793	32.05	557	3 3 0
2.650	33.83	367	4 2 0
2.613	34.32	1000	4 1 1
2.512	35.74	457	2 2 2
2.406	37.37	222	3 1 2
2.324	38.75	205	5 1 0
1.861	48.96	224	6 1 1
1.765	51.79	282	3 2 3
1.692	54.22	206	4 1 3
1.569	58.86	214	0 0 4

Starting from a DFT-relaxed cell (GGA-PBE, Alexandria), the X-ray diffraction stick pattern of SmRu2 was computed for Cu Ka.
Peak positions follow from Bragg's law for the DFT cell and can differ from measured ones.

Structural model:
abc: 7.6258 7.6258 7.6258
angles: 90.00 90.00 90.00
Space group Fd-3m (No. 227, origin choice 2)
Asymmetric unit:
1 Sm 0.1250 0.1250 0.1250
2 Ru 0.0000 0.0000 0.5000

Largest 10 diffraction maxima, sorted by position, 10° ≤ 2θ ≤ 90°:
d [Å]	2θ/deg	I_rel	index
2.696	33.23	402	2 2 0
2.299	39.18	1000	3 1 1
2.201	41.00	285	2 2 2
1.906	47.70	10	4 0 0
1.557	59.37	153	4 2 2
1.468	63.38	319	5 1 1
1.348	69.76	259	4 4 0
1.206	79.49	66	6 2 0
1.163	83.04	112	5 3 3
1.150	84.22	102	6 2 2

Starting from a DFT-relaxed cell (GGA-PBE, Alexandria), the X-ray diffraction stick pattern of Sm3Ru was computed for Cu Ka.
Peak positions follow from Bragg's law for the DFT cell and can differ from measured ones.

Structural model:
```
data_Sm3Ru
_chemical_formula_sum 'Sm12 Ru4'
_symmetry_space_group_name_H-M 'P n m a'
_symmetry_Int_Tables_number 62
_cell_length_a 7.3781
_cell_length_b 9.5507
_cell_length_c 6.4325
_cell_angle_alpha 90.00
_cell_angle_beta 90.00
_cell_angle_gamma 90.00
loop_
_symmetry_equiv_pos_as_xyz
'x,y,z'
'-x,-y,-z'
'-x+1/2,-y,z+1/2'
'x+1/2,y,-z+1/2'
'x+1/2,-y+1/2,-z+1/2'
'-x+1/2,y+1/2,z+1/2'
'-x,y+1/2,-z'
'x,-y+1/2,z'
loop_
_atom_site_label
_atom_site_type_symbol
_atom_site_fract_x
_atom_site_fract_y
_atom_site_fract_z
_atom_site_occupancy
Sm1 Sm 0.0422 0.2500 0.1409 1
Sm2 Sm 0.1767 0.0663 0.6699 1
Ru1 Ru 0.1140 0.7500 0.4521 1
```

Largest 12 diffraction maxima, sorted by position, 10° ≤ 2θ ≤ 90°:
d [Å]	2θ/deg	I_rel	index
3.034	29.44	541	2 1 1
2.948	30.32	502	1 0 2
2.919	30.62	671	2 2 0
2.853	31.35	1000	0 3 1
2.817	31.76	928	1 1 2
2.663	33.66	869	1 3 1
2.658	33.72	778	2 2 1
2.410	37.31	359	2 3 0
2.297	39.22	336	3 0 1
1.891	48.13	382	1 2 3
1.729	52.97	297	1 3 3
1.665	55.16	343	3 3 2

Starting from a DFT-relaxed cell (GGA-PBE, Alexandria), the X-ray diffraction stick pattern of Sm3Ru2 was computed for Cu Ka.
Peak positions follow from Bragg's law for the DFT cell and can differ from measured ones.

Structural model:
```
data_Sm3Ru2
_chemical_formula_sum 'Sm18 Ru12'
_symmetry_space_group_name_H-M 'C 1 2/m 1'
_symmetry_Int_Tables_number 12
_cell_length_a 14.6757
_cell_length_b 4.8804
_cell_length_c 10.3714
_cell_angle_alpha 90.00
_cell_angle_beta 90.14
_cell_angle_gamma 90.00
loop_
_symmetry_equiv_pos_as_xyz
'x,y,z'
'-x,-y,-z'
'-x,y,-z'
'x,-y,z'
'x+1/2,y+1/2,z'
'-x+1/2,-y+1/2,-z'
'-x+1/2,y+1/2,-z'
'x+1/2,-y+1/2,z'
loop_
_atom_site_label
_atom_site_type_symbol
_atom_site_fract_x
_atom_site_fract_y
_atom_site_fract_z
_atom_site_occupancy
Sm1 Sm 0.0000 0.0000 0.0000 1
Sm2 Sm 0.0053 0.0000 0.3341 1
Sm3 Sm 0.1575 0.5000 0.6494 1
Sm4 Sm 0.1671 0.5000 0.9815 1
Sm5 Sm 0.1757 0.5000 0.3163 1
Ru1 Ru 0.0039 0.5000 0.1663 1
Ru2 Ru 0.1676 0.0000 0.1618 1
Ru3 Ru 0.1693 0.0000 0.4933 1
```

Largest 12 diffraction maxima, sorted by position, 10° ≤ 2θ ≤ 90°:
d [Å]	2θ/deg	I_rel	index
4.228	21.01	64	2 0 2
3.456	25.78	239	3 1 0
2.444	36.77	1000	6 0 0
2.440	36.83	206	0 2 0
1.729	52.97	61	0 0 6
1.728	53.01	143	6 2 0
1.413	66.12	93	9 1 -3
1.410	66.27	227	3 3 -3
1.409	66.34	68	3 3 3
1.223	78.15	55	12 0 0
1.093	89.67	78	9 3 -3
1.092	89.81	84	6 4 0